For Nd4Se3O4, DFT lattice parameters and positions (PBE) gives the simulated X-ray powder pattern in this record (Cu Kα).
Neutral-atom scattering factors, no anomalous dispersion.

Structure:
```
data_Nd4Se3O4
_cell_length_a 8.488
_cell_length_b 4.037
_cell_length_c 13.054
_cell_angle_alpha 90.00
_cell_angle_beta 90.00
_cell_angle_gamma 90.00
_symmetry_space_group_name_H-M 'A m m 2'
_symmetry_Int_Tables_number 38
loop_
_symmetry_equiv_pos_as_xyz
'x,y,z'
'-x,-y,z'
'-x,y,z'
'x,-y,z'
'x,y+1/2,z+1/2'
'-x,-y+1/2,z+1/2'
'-x,y+1/2,z+1/2'
'x,-y+1/2,z+1/2'
loop_
_atom_site_label
_atom_site_type_symbol
_atom_site_fract_x
_atom_site_fract_y
_atom_site_fract_z
Nd1 Nd 0.000 0.000 0.000
Nd2 Nd 0.239 0.000 0.680
Nd3 Nd 0.500 0.000 0.013
Se1 Se 0.000 0.000 0.314
Se2 Se 0.349 0.000 0.352
O1 O 0.000 0.000 0.588
O2 O 0.245 0.000 0.086
O3 O 0.500 0.000 0.611
```

Main lines, in order of falling intensity (2θ = 15–90°):
2theta  I (rel.)  (hkl)
30.20  100  0 1 3
25.03  54  2 0 2
31.34  54  2 1 1
34.67  29  2 0 4
44.91  27  0 2 0
46.63  23  2 1 5